# 1
Starting from a structure optimized by DFT (GGA-PBE), the powder X-ray diffraction pattern of LiAl3Ga was simulated for Cu Kα X-rays.
Lines closer than 0.1° are merged.

Main lines, sorted by position (10 to 80 degrees two-theta):
- 2θ 22.34, d 3.979, intensity 42, hkl 1 1 1
- 2θ 25.86, d 3.446, intensity 28, hkl 2 0 0
- 2θ 28.97, d 3.082, intensity 38, hkl 2 0 1
- 2θ 39.22, d 2.297, intensity 100, hkl 2 2 1
- 2θ 41.43, d 2.179, intensity 71, hkl 3 0 1
- 2θ 43.55, d 2.078, intensity 29, hkl 3 1 1
- 2θ 49.49, d 1.842, intensity 28, hkl 3 1 2
- 2θ 54.93, d 1.672, intensity 12, hkl 4 1 0
- 2θ 69.55, d 1.352, intensity 37, hkl 4 3 1
- 2θ 74.08, d 1.280, intensity 24, hkl 5 2 0

Atomic structure:
Cell: 6.8918 6.8918 6.8918 Å, 90.00 90.00 90.00°
Space group P2_13 (No. 198)
Symmetry-distinct sites (fractional):
Li: 0.0568 0.0568 0.0568 (multiplicity 4)
Al: 0.0514 0.8746 0.7023 (multiplicity 12)
Ga: 0.1871 0.8129 0.3129 (multiplicity 4)


# 2
Starting from a structure optimized by DFT (GGA-PBE), the powder X-ray diffraction pattern of Li3AlGa2 was simulated for Cu Kα X-rays.
Lines closer than 0.1° are merged.

Main lines, sorted by position (10 to 80 degrees two-theta):
- 2θ 17.91, d 4.952, intensity 96, hkl 1 0 -1
- 2θ 19.45, d 4.565, intensity 34, hkl 1 0 1
- 2θ 25.05, d 3.555, intensity 62, hkl 1 0 -2
- 2θ 29.00, d 3.079, intensity 31, hkl 1 1 -1
- 2θ 30.00, d 2.979, intensity 66, hkl 1 1 1
- 2θ 38.85, d 2.318, intensity 100, hkl 2 1 0
- 2θ 39.39, d 2.288, intensity 97, hkl 0 1 3
- 2θ 43.01, d 2.103, intensity 37, hkl 2 0 -3
- 2θ 47.17, d 1.927, intensity 39, hkl 2 0 3
- 2θ 64.96, d 1.436, intensity 32, hkl 2 2 -3

Atomic structure:
Cell: 5.7621 3.9309 8.4718 Å, 90.00 95.01 90.00°
Space group P2_1/m (No. 11)
Symmetry-distinct sites (fractional):
Li: 0.1211 0.2500 0.2569 (multiplicity 2)
Li: 0.1324 0.2500 0.9112 (multiplicity 2)
Li: 0.3726 0.7500 0.4143 (multiplicity 2)
Al: 0.3812 0.7500 0.7592 (multiplicity 2)
Ga: 0.1302 0.2500 0.5849 (multiplicity 2)
Ga: 0.3657 0.7500 0.0797 (multiplicity 2)